[1]
For CsU4Te12Pd3, a structure optimized by DFT (PBE) gives the theoretical PXRD pattern in this record (Cu Kα).

Crystal structure
Cell: 9.587 9.587 9.587 Å, 109.47 109.47 109.47°
Fractional coordinates of all 20 atoms:
Cs 0.000 0.000 0.000
U 0.000 0.000 0.500
U 0.000 0.500 0.000
U 0.500 0.000 0.000
U 0.500 0.500 0.500
Te 0.158 0.835 0.323
Te 0.165 0.323 0.488
Te 0.165 0.677 0.842
Te 0.323 0.158 0.835
Te 0.323 0.488 0.165
Te 0.488 0.165 0.323
Te 0.512 0.835 0.677
Te 0.677 0.512 0.835
Te 0.677 0.842 0.165
Te 0.835 0.323 0.158
Te 0.835 0.677 0.512
Te 0.842 0.165 0.677
Pd 0.000 0.500 0.500
Pd 0.500 0.000 0.500
Pd 0.500 0.500 0.000

Largest 6 diffraction maxima, in order of rising 2θ, 2θ = 10–80°:
2θ (°)  Rel. int.
22.72  66.0
25.44  63.8
30.21  33.6
32.35  31.3
39.89  100.0
72.44  42.3

=====

[2]
For Ba6In2Hg, a structure optimized by DFT (PBE) gives the theoretical PXRD pattern in this record (Cu Kα).

Crystal structure
Cell: 11.579 11.594 6.033 Å, 90.00 90.00 90.00°
Fractional coordinates of all 18 atoms:
Ba 0.028 0.201 0.000
Ba 0.117 0.616 0.500
Ba 0.200 0.971 0.500
Ba 0.300 0.471 0.000
Ba 0.383 0.116 0.000
Ba 0.472 0.701 0.500
Ba 0.528 0.299 0.500
Ba 0.617 0.884 0.000
Ba 0.700 0.529 0.000
Ba 0.800 0.029 0.500
Ba 0.883 0.384 0.500
Ba 0.972 0.799 0.000
In 0.204 0.295 0.500
In 0.296 0.795 0.000
In 0.704 0.205 0.000
In 0.796 0.705 0.500
Hg 0.000 0.500 0.000
Hg 0.500 0.000 0.500

Largest 6 diffraction maxima, in order of rising 2θ, 2θ = 10–80°:
2θ (°)  Rel. int.
10.80  18.4
27.42  100.0
27.76  19.3
28.50  29.8
29.61  33.0
32.79  20.7

=====

- Number 2 is which compound?
  Ba6In2Hg

=====

- What is the formula in the second record?
  Ba6In2Hg